Simulated powder diffractogram
Compound: Pr4Er11S22
Radiation: Cu Kα (λ = 1.5418 Å)
Structure: a DFT-relaxed cell (GGA-PBE, Alexandria)
No peak broadening, texture or thermal motion is included.

The 12 most intense peaks (2θ = 10–90°), low angle first:
- 23.5 deg, rel. 79.8
- 24.3 deg, rel. 100.0
- 24.9 deg, rel. 39.1
- 26.4 deg, rel. 59.7
- 27.3 deg, rel. 48.5
- 27.7 deg, rel. 64.5
- 31.5 deg, rel. 64.1
- 33.9 deg, rel. 56.2
- 42.1 deg, rel. 55.1
- 44.0 deg, rel. 36.6
- 46.0 deg, rel. 44.0
- 46.3 deg, rel. 33.2

Atomic structure:
abc: 19.672 19.672 11.352
angles: 91.67 91.67 11.52
Fractional coordinates of all 37 atoms:
Pr  0.105  0.105  0.012
Pr  0.368  0.368  0.350
Pr  0.632  0.632  0.650
Pr  0.895  0.895  0.988
Er  0.000  0.000  0.000
Er  0.070  0.070  0.360
Er  0.202  0.202  0.942
Er  0.264  0.264  0.352
Er  0.342  0.342  0.699
Er  0.462  0.462  0.270
Er  0.538  0.538  0.730
Er  0.658  0.658  0.301
Er  0.736  0.736  0.648
Er  0.798  0.798  0.058
Er  0.930  0.930  0.640
S  0.008  0.008  0.241
S  0.087  0.087  0.755
S  0.135  0.135  0.451
S  0.169  0.169  0.151
S  0.189  0.189  0.691
S  0.255  0.255  0.120
S  0.280  0.280  0.591
S  0.350  0.350  0.093
S  0.407  0.407  0.788
S  0.443  0.443  0.491
S  0.453  0.453  0.030
S  0.547  0.547  0.970
S  0.557  0.557  0.509
S  0.593  0.593  0.212
S  0.650  0.650  0.907
S  0.720  0.720  0.409
S  0.745  0.745  0.880
S  0.811  0.811  0.309
S  0.831  0.831  0.849
S  0.865  0.865  0.549
S  0.913  0.913  0.245
S  0.992  0.992  0.759